Starting from DFT lattice parameters and positions (GGA-PBE), the powder X-ray diffraction pattern of LiIr2 was computed for λ = 1.5418 Å (Cu Kα).

Structural model:
```
data_LiIr2
_cell_length_a 2.756
_cell_length_b 13.769
_cell_length_c 4.301
_cell_angle_alpha 90.00
_cell_angle_beta 90.00
_cell_angle_gamma 90.00
_symmetry_space_group_name_H-M 'C m c m'
_symmetry_Int_Tables_number 63
_symmetry_space_group_name_Hall '-C 2c 2'
loop_
_atom_site_label
_atom_site_type_symbol
_atom_site_fract_x
_atom_site_fract_y
_atom_site_fract_z
_atom_site_occupancy
Li1 Li 0.000 0.110 0.250 1
Ir1 Ir 0.000 0.218 0.750 1
Ir2 Ir 0.000 0.446 0.250 1
```

Top 10 peaks for 2θ = 10–90°, sorted by position:
2theta  d (Å)  I_rel  h k l
24.40  3.648  80  0 2 1
25.88  3.442  26  0 4 0
33.15  2.702  19  1 1 0
38.09  2.363  32  1 3 0
42.01  2.151  40  0 0 2
43.71  2.071  100  1 3 1
44.76  2.025  56  0 6 1
57.99  1.590  19  1 3 2
77.94  1.226  19  1 3 3
85.49  1.136  21  1 9 2

Starting from DFT lattice parameters and positions (GGA-PBE), the powder X-ray diffraction pattern of Pm5Sm8Tl was computed for λ = 1.5418 Å (Cu Kα).

Structural model:
```
data_Pm5Sm8Tl
_cell_length_a 12.986
_cell_length_b 11.175
_cell_length_c 9.176
_cell_angle_alpha 90.00
_cell_angle_beta 134.45
_cell_angle_gamma 90.00
_symmetry_space_group_name_H-M 'C 1 2 1'
_symmetry_Int_Tables_number 5
loop_
_symmetry_equiv_pos_as_xyz
'x,y,z'
'-x,y,-z'
'x+1/2,y+1/2,z'
'-x+1/2,y+1/2,-z'
loop_
_atom_site_label
_atom_site_type_symbol
_atom_site_fract_x
_atom_site_fract_y
_atom_site_fract_z
_atom_site_occupancy
Pm1 Pm 0.000 0.000 0.000 1
Pm2 Pm 0.160 0.501 0.361 1
Pm3 Pm 0.215 0.312 0.138 1
Sm1 Sm 0.066 0.217 0.340 1
Sm2 Sm 0.066 0.784 0.340 1
Sm3 Sm 0.157 0.501 0.752 1
Sm4 Sm 0.214 0.689 0.138 1
Tl1 Tl 0.000 0.001 0.500 1
```

Top 10 peaks for 2θ = 10–90°, sorted by position:
2theta  d (Å)  I_rel  h k l
25.81  3.452  28  1 3 -1
30.00  2.978  53  3 1 0
30.69  2.914  40  2 0 -3
31.88  2.807  100  4 2 -2
32.04  2.794  33  0 4 0
32.38  2.765  86  1 3 -2
32.39  2.764  33  3 3 -1
34.51  2.599  31  2 2 1
50.39  1.811  24  3 5 0
62.36  1.489  27  1 7 -2

Starting from DFT lattice parameters and positions (GGA-PBE), the powder X-ray diffraction pattern of Tb7Y2Mg2 was computed for λ = 1.5418 Å (Cu Kα).

Structural model:
```
data_Tb7Y2Mg2
_cell_length_a 8.827
_cell_length_b 9.212
_cell_length_c 8.565
_cell_angle_alpha 90.00
_cell_angle_beta 101.62
_cell_angle_gamma 90.00
_symmetry_space_group_name_H-M 'C 1 2/m 1'
_symmetry_Int_Tables_number 12
loop_
_symmetry_equiv_pos_as_xyz
'x,y,z'
'-x,-y,-z'
'-x,y,-z'
'x,-y,z'
'x+1/2,y+1/2,z'
'-x+1/2,-y+1/2,-z'
'-x+1/2,y+1/2,-z'
'x+1/2,-y+1/2,z'
loop_
_atom_site_label
_atom_site_type_symbol
_atom_site_fract_x
_atom_site_fract_y
_atom_site_fract_z
_atom_site_occupancy
Tb1 Tb 0.000 0.000 0.000 1
Tb2 Tb 0.103 0.500 0.857 1
Tb3 Tb 0.237 0.313 0.213 1
Y1 Y 0.153 0.000 0.416 1
Mg1 Mg 0.000 0.329 0.500 1
```

Top 10 peaks for 2θ = 10–90°, sorted by position:
2theta  d (Å)  I_rel  h k l
10.55  8.389  66  0 0 1
28.31  3.152  60  2 2 0
28.78  3.102  54  0 2 2
31.76  2.818  49  2 2 1
32.02  2.795  76  1 3 -1
32.24  2.776  100  3 1 -1
32.60  2.747  76  2 0 2
32.94  2.719  72  2 2 -2
33.08  2.708  81  1 1 -3
33.43  2.680  95  1 3 1

Starting from DFT lattice parameters and positions (GGA-PBE), the powder X-ray diffraction pattern of BaCd2In was computed for λ = 1.5418 Å (Cu Kα).

Structural model:
```
data_BaCd2In
_cell_length_a 8.571
_cell_length_b 4.957
_cell_length_c 6.787
_cell_angle_alpha 90.00
_cell_angle_beta 115.20
_cell_angle_gamma 90.00
_symmetry_space_group_name_H-M 'C 1 m 1'
_symmetry_Int_Tables_number 8
loop_
_symmetry_equiv_pos_as_xyz
'x,y,z'
'x,-y,z'
'x+1/2,y+1/2,z'
'x+1/2,-y+1/2,z'
loop_
_atom_site_label
_atom_site_type_symbol
_atom_site_fract_x
_atom_site_fract_y
_atom_site_fract_z
_atom_site_occupancy
Ba1 Ba 0.000 0.000 0.000 1
Cd1 Cd 0.290 0.500 0.371 1
Cd2 Cd 0.494 0.000 0.482 1
In1 In 0.213 0.000 0.640 1
```

Top 10 peaks for 2θ = 10–90°, sorted by position:
2theta  d (Å)  I_rel  h k l
14.42  6.141  22  0 0 1
28.43  3.139  100  1 1 1
29.08  3.071  10  0 0 2
31.97  2.799  20  1 1 -2
36.27  2.476  84  0 2 0
46.65  1.947  17  2 2 -2
47.08  1.930  11  3 1 -3
54.24  1.691  13  1 1 3
60.50  1.530  15  1 3 1
65.26  1.430  14  6 0 -2

Starting from DFT lattice parameters and positions (GGA-PBE), the powder X-ray diffraction pattern of Li2InCoTe was computed for λ = 1.5418 Å (Cu Kα).

Structural model:
```
data_Li2InCoTe
_cell_length_a 4.857
_cell_length_b 4.857
_cell_length_c 4.909
_cell_angle_alpha 90.00
_cell_angle_beta 90.00
_cell_angle_gamma 90.00
_symmetry_space_group_name_H-M 'P 4/m m m'
_symmetry_Int_Tables_number 123
_symmetry_space_group_name_Hall '-P 4 2'
loop_
_atom_site_label
_atom_site_type_symbol
_atom_site_fract_x
_atom_site_fract_y
_atom_site_fract_z
_atom_site_occupancy
Li1 Li 0.000 0.500 0.000 1
In1 In 0.000 0.000 0.500 1
Co1 Co 0.000 0.000 0.000 1
Te1 Te 0.500 0.500 0.500 1
```

Top 10 peaks for 2θ = 10–90°, sorted by position:
2theta  d (Å)  I_rel  h k l
18.07  4.909  38  0 0 1
25.95  3.434  100  1 1 0
31.80  2.814  49  1 1 1
36.61  2.454  23  0 0 2
37.02  2.428  45  2 0 0
41.50  2.176  21  2 0 1
45.42  1.997  43  1 1 2
53.05  1.726  31  2 0 2
60.26  1.536  19  3 1 0
72.62  1.302  20  3 1 2

Starting from DFT lattice parameters and positions (GGA-PBE), the powder X-ray diffraction pattern of Ce2Ga3SiAu4 was computed for λ = 1.5418 Å (Cu Kα).

Structural model:
```
data_Ce2Ga3SiAu4
_cell_length_a 4.468
_cell_length_b 4.468
_cell_length_c 10.262
_cell_angle_alpha 90.00
_cell_angle_beta 90.00
_cell_angle_gamma 90.00
_symmetry_space_group_name_H-M 'P -4 m 2'
_symmetry_Int_Tables_number 115
loop_
_symmetry_equiv_pos_as_xyz
'x,y,z'
'y,-x,-z'
'-x,-y,z'
'-y,x,-z'
'-x,y,z'
'-y,-x,-z'
'x,-y,z'
'y,x,-z'
loop_
_atom_site_label
_atom_site_type_symbol
_atom_site_fract_x
_atom_site_fract_y
_atom_site_fract_z
_atom_site_occupancy
Ce1 Ce 0.000 0.500 0.246 1
Ga1 Ga 0.000 0.000 0.000 1
Ga2 Ga 0.000 0.500 0.634 1
Si1 Si 0.500 0.500 0.000 1
Au1 Au 0.000 0.000 0.500 1
Au2 Au 0.000 0.500 0.878 1
Au3 Au 0.500 0.500 0.500 1
```

Top 10 peaks for 2θ = 10–90°, sorted by position:
2theta  d (Å)  I_rel  h k l
29.59  3.019  53  1 1 1
32.98  2.716  74  1 0 3
33.30  2.690  100  1 1 2
40.37  2.234  86  2 0 0
45.55  1.992  41  1 1 4
48.85  1.864  31  1 0 5
53.08  1.725  39  2 1 3
58.42  1.580  29  2 2 0
65.17  1.432  22  2 1 5
68.94  1.362  24  3 1 2

Starting from DFT lattice parameters and positions (GGA-PBE), the powder X-ray diffraction pattern of AcDy6Ho was computed for λ = 1.5418 Å (Cu Kα).

Structural model:
```
data_AcDy6Ho
_cell_length_a 5.084
_cell_length_b 5.084
_cell_length_c 10.161
_cell_angle_alpha 90.00
_cell_angle_beta 90.00
_cell_angle_gamma 90.00
_symmetry_space_group_name_H-M 'P 4/m m m'
_symmetry_Int_Tables_number 123
_symmetry_space_group_name_Hall '-P 4 2'
loop_
_atom_site_label
_atom_site_type_symbol
_atom_site_fract_x
_atom_site_fract_y
_atom_site_fract_z
_atom_site_occupancy
Ac1 Ac 0.000 0.000 0.000 1
Dy1 Dy 0.000 0.500 0.259 1
Dy2 Dy 0.500 0.500 0.000 1
Dy3 Dy 0.500 0.500 0.500 1
Ho1 Ho 0.000 0.000 0.500 1
```

Top 10 peaks for 2θ = 10–90°, sorted by position:
2theta  d (Å)  I_rel  h k l
26.30  3.388  1  0 0 3
30.46  2.935  100  1 1 2
35.32  2.541  51  2 0 0
50.81  1.797  36  2 2 0
60.40  1.533  43  3 1 2
63.39  1.467  12  2 2 4
74.70  1.271  6  4 0 0
75.39  1.261  1  2 0 7
82.77  1.166  18  3 3 2
85.42  1.137  16  4 2 0

Starting from DFT lattice parameters and positions (GGA-PBE), the powder X-ray diffraction pattern of CdSbI was computed for λ = 1.5418 Å (Cu Kα).

Structural model:
```
data_CdSbI
_cell_length_a 5.018
_cell_length_b 4.352
_cell_length_c 11.937
_cell_angle_alpha 90.00
_cell_angle_beta 101.91
_cell_angle_gamma 90.00
_symmetry_space_group_name_H-M 'P 1 21/m 1'
_symmetry_Int_Tables_number 11
loop_
_symmetry_equiv_pos_as_xyz
'x,y,z'
'-x,-y,-z'
'-x,y+1/2,-z'
'x,-y+1/2,z'
loop_
_atom_site_label
_atom_site_type_symbol
_atom_site_fract_x
_atom_site_fract_y
_atom_site_fract_z
_atom_site_occupancy
Cd1 Cd 0.097 0.250 0.198 1
Sb1 Sb 0.461 0.750 0.919 1
I1 I 0.176 0.750 0.357 1
```

Top 10 peaks for 2θ = 10–90°, sorted by position:
2theta  d (Å)  I_rel  h k l
21.06  4.218  100  1 0 -2
25.53  3.490  92  0 1 2
35.79  2.509  28  2 0 -1
38.39  2.345  44  1 1 3
38.49  2.339  44  1 1 -4
41.50  2.176  19  0 2 0
44.42  2.039  23  2 1 1
44.53  2.035  22  2 1 -3
46.99  1.934  23  1 2 -2
55.94  1.644  15  2 2 -1

Starting from DFT lattice parameters and positions (GGA-PBE), the powder X-ray diffraction pattern of KMgPO5 was computed for λ = 1.5418 Å (Cu Kα).

Structural model:
```
data_KMgPO5
_cell_length_a 5.454
_cell_length_b 8.459
_cell_length_c 5.071
_cell_angle_alpha 90.00
_cell_angle_beta 90.00
_cell_angle_gamma 90.00
_symmetry_space_group_name_H-M 'P m n 21'
_symmetry_Int_Tables_number 31
loop_
_symmetry_equiv_pos_as_xyz
'x,y,z'
'-x+1/2,-y,z+1/2'
'-x,y,z'
'x+1/2,-y,z+1/2'
loop_
_atom_site_label
_atom_site_type_symbol
_atom_site_fract_x
_atom_site_fract_y
_atom_site_fract_z
_atom_site_occupancy
K1 K 0.000 0.014 0.000 1
Mg1 Mg 0.000 0.508 0.126 1
P1 P 0.000 0.710 0.572 1
O1 O 0.000 0.286 0.306 1
O2 O 0.000 0.689 0.876 1
O3 O 0.000 0.885 0.499 1
O4 O 0.222 0.618 0.443 1
```

Top 10 peaks for 2θ = 10–90°, sorted by position:
2theta  d (Å)  I_rel  h k l
19.36  4.584  56  1 1 0
20.42  4.350  83  0 1 1
31.73  2.820  21  0 3 0
32.07  2.791  100  1 2 1
32.84  2.727  49  2 0 0
35.40  2.536  23  0 0 2
38.98  2.310  18  2 1 1
43.32  2.088  21  2 2 1
50.31  1.814  22  2 1 2
58.15  1.586  29  3 2 1

Starting from DFT lattice parameters and positions (GGA-PBE), the powder X-ray diffraction pattern of CeNd2Tm3S6 was computed for λ = 1.5418 Å (Cu Kα).

Structural model:
```
data_CeNd2Tm3S6
_cell_length_a 17.353
_cell_length_b 3.897
_cell_length_c 8.020
_cell_angle_alpha 90.00
_cell_angle_beta 105.13
_cell_angle_gamma 90.00
_symmetry_space_group_name_H-M 'C 1 2/m 1'
_symmetry_Int_Tables_number 12
loop_
_symmetry_equiv_pos_as_xyz
'x,y,z'
'-x,-y,-z'
'-x,y,-z'
'x,-y,z'
'x+1/2,y+1/2,z'
'-x+1/2,-y+1/2,-z'
'-x+1/2,y+1/2,-z'
'x+1/2,-y+1/2,z'
loop_
_atom_site_label
_atom_site_type_symbol
_atom_site_fract_x
_atom_site_fract_y
_atom_site_fract_z
_atom_site_occupancy
Ce1 Ce 0.000 0.000 0.000 1
Nd1 Nd 0.166 0.500 0.332 1
Tm1 Tm 0.000 0.000 0.500 1
Tm2 Tm 0.167 0.500 0.835 1
S1 S 0.005 0.500 0.740 1
S2 S 0.162 0.000 0.596 1
S3 S 0.171 0.000 0.071 1
```

Top 10 peaks for 2θ = 10–90°, sorted by position:
2theta  d (Å)  I_rel  h k l
26.98  3.305  22  4 0 -2
27.80  3.209  20  2 0 2
27.92  3.196  39  3 1 0
32.04  2.793  100  6 0 0
45.25  2.004  12  2 0 -4
45.43  1.997  25  7 1 -2
46.48  1.954  23  5 1 2
46.62  1.948  12  0 2 0
54.67  1.679  13  9 1 0
57.70  1.598  12  6 2 0

Starting from DFT lattice parameters and positions (GGA-PBE), the powder X-ray diffraction pattern of Ac4Hg2Se was computed for λ = 1.5418 Å (Cu Kα).

Structural model:
```
data_Ac4Hg2Se
_cell_length_a 5.947
_cell_length_b 5.947
_cell_length_c 15.906
_cell_angle_alpha 90.00
_cell_angle_beta 90.00
_cell_angle_gamma 90.00
_symmetry_space_group_name_H-M 'I 4/m m m'
_symmetry_Int_Tables_number 139
_symmetry_space_group_name_Hall '-I 4 2'
loop_
_atom_site_label
_atom_site_type_symbol
_atom_site_fract_x
_atom_site_fract_y
_atom_site_fract_z
_atom_site_occupancy
Ac1 Ac 0.000 0.000 0.198 1
Ac2 Ac 0.000 0.500 0.000 1
Hg1 Hg 0.000 0.000 0.396 1
Se1 Se 0.000 0.000 0.000 1
```

Top 10 peaks for 2θ = 10–90°, sorted by position:
2theta  d (Å)  I_rel  h k l
11.13  7.953  20  0 0 2
21.13  4.205  29  1 1 0
23.94  3.718  69  1 1 2
30.05  2.974  100  2 0 0
30.95  2.889  34  1 1 4
31.90  2.805  78  1 0 5
43.02  2.103  38  2 2 0
44.40  2.040  64  2 1 5
63.53  1.464  22  3 2 5
66.69  1.402  22  2 0 10

Starting from DFT lattice parameters and positions (GGA-PBE), the powder X-ray diffraction pattern of LiErSc2Ga4 was computed for λ = 1.5418 Å (Cu Kα).

Structural model:
```
data_LiErSc2Ga4
_cell_length_a 4.7328
_cell_length_b 4.7328
_cell_length_c 23.8237
_cell_angle_alpha 90.00
_cell_angle_beta 90.00
_cell_angle_gamma 120.00
_symmetry_space_group_name_H-M 'R -3 m'
_symmetry_Int_Tables_number 166
_symmetry_space_group_name_Hall '-R 3 2"'
loop_
_atom_site_label
_atom_site_type_symbol
_atom_site_fract_x
_atom_site_fract_y
_atom_site_fract_z
_atom_site_occupancy
Li1 Li 0.0000 0.0000 0.0000 1
Er1 Er 0.0000 0.0000 0.5000 1
Sc1 Sc 0.0000 0.0000 0.2556 1
Ga1 Ga 0.0000 0.0000 0.1210 1
Ga2 Ga 0.0000 0.0000 0.3731 1
```

Top 10 peaks for 2θ = 10–90°, sorted by position:
2theta  d (Å)  I_rel  h k l
11.14  7.941  37  0 0 3
22.00  4.039  33  1 0 1
28.73  3.107  25  0 1 5
37.32  2.409  100  0 1 8
38.03  2.366  97  1 1 0
54.34  1.688  33  2 0 8
66.85  1.399  16  1 0 16
68.24  1.374  32  1 2 8
68.70  1.366  19  3 0 0
81.32  1.183  14  2 2 0